Calculated powder diffraction line list of KBaGdMo3O12 for Cu Kα (λ = 1.5418 Å), from DFT lattice parameters and positions (GGA+U).
Kinematic intensities with the Lorentz-polarization factor, no thermal factor.

Main lines, by intensity (15° ≤ 2θ ≤ 90°):
| Position (°2θ) | I (rel.) |
| --- | --- |
| 26.6 | 100 |
| 27.2 | 92 |
| 28.8 | 27 |
| 44.5 | 25 |
| 43.2 | 25 |
| 31.5 | 21 |
| 33.2 | 19 |
| 50.1 | 16 |
| 52.8 | 14 |
| 56.1 | 13 |

Structure:
```
data_KBaGdMo3O12
_chemical_formula_sum 'K2 Ba2 Gd2 Mo6 O24'
_cell_length_a 10.8217
_cell_length_b 10.8217
_cell_length_c 5.4056
_cell_angle_alpha 102.94
_cell_angle_beta 102.94
_cell_angle_gamma 69.99
_symmetry_space_group_name_H-M 'P 1'
_symmetry_Int_Tables_number 1
loop_
_symmetry_equiv_pos_as_xyz
'x,y,z'
loop_
_atom_site_label
_atom_site_type_symbol
_atom_site_fract_x
_atom_site_fract_y
_atom_site_fract_z
K1 K 0.1635 0.1635 0.1644
K2 K 0.8365 0.8365 0.8356
Ba1 Ba 0.5810 0.0862 0.3257
Ba2 Ba 0.9138 0.4190 0.6743
Gd1 Gd 0.2476 0.7524 0.0000
Gd2 Gd 0.4862 0.5138 0.5000
Mo1 Mo 0.0176 0.9824 0.5000
Mo2 Mo 0.1055 0.5820 0.3545
Mo3 Mo 0.3258 0.3639 0.8515
Mo4 Mo 0.4180 0.8945 0.6455
Mo5 Mo 0.6361 0.6742 0.1485
Mo6 Mo 0.7176 0.2824 0.0000
O1 O 0.0108 0.1446 0.6753
O2 O 0.0613 0.8614 0.7166
O3 O 0.0755 0.7034 0.1496
O4 O 0.1102 0.4306 0.1356
O5 O 0.1386 0.9387 0.2834
O6 O 0.1722 0.3732 0.6389
O7 O 0.2576 0.5921 0.5993
O8 O 0.2966 0.9245 0.8504
O9 O 0.3353 0.5144 0.0971
O10 O 0.3676 0.2240 0.0055
O11 O 0.3796 0.0339 0.4904
O12 O 0.4079 0.7424 0.4007
O13 O 0.4485 0.3315 0.6444
O14 O 0.4856 0.6647 0.9029
O15 O 0.5694 0.8898 0.8644
O16 O 0.5996 0.3202 0.2211
O17 O 0.6268 0.8278 0.3611
O18 O 0.6685 0.5515 0.3556
O19 O 0.6798 0.4004 0.7789
O20 O 0.7214 0.1216 0.8232
O21 O 0.7760 0.6324 0.9945
O22 O 0.8554 0.9892 0.3247
O23 O 0.8784 0.2786 0.1768
O24 O 0.9661 0.6204 0.5096
```